Entry 1:
Theoretical powder diffractogram of RbPrF4 for Cu Kα, 1.54184 Å, from a crystal structure in Alexandria, relaxed with PBE.
Intensities are scaled so that the largest is 100.

Structural model:
Cell: 4.0806 4.0806 6.6230 Å, 90.00 90.00 90.00°
Atoms (fractional coordinates):
Rb 0.0000 0.0000 0.0000
Pr 0.5000 0.5000 0.5000
F 0.0000 0.5000 0.2998
F 0.0000 0.5000 0.7002
F 0.5000 0.0000 0.2998
F 0.5000 0.0000 0.7002

Largest 10 diffraction maxima, low angle first, 2θ = 10–90°:
d_spacing	I_rel
6.623	14
3.474	100
3.312	11
2.885	13
2.175	44
2.040	20
1.942	19
1.759	28
1.407	13
1.202	12

Entry 2:
Theoretical powder diffractogram of LiDy12In3 for Cu Kα, 1.54184 Å, from a crystal structure in Alexandria, relaxed with PBE.
Intensities are scaled so that the largest is 100.

Structural model:
Cell: 4.8498 4.8498 19.4609 Å, 90.00 90.00 90.00°
Atoms (fractional coordinates):
Li 0.0000 0.0000 0.0000
Dy 0.0000 0.5000 0.1270
Dy 0.0000 0.5000 0.3753
Dy 0.0000 0.5000 0.6247
Dy 0.0000 0.5000 0.8730
Dy 0.5000 0.0000 0.1270
Dy 0.5000 0.0000 0.3753
Dy 0.5000 0.0000 0.6247
Dy 0.5000 0.0000 0.8730
Dy 0.5000 0.5000 0.0000
Dy 0.5000 0.5000 0.2495
Dy 0.5000 0.5000 0.5000
Dy 0.5000 0.5000 0.7505
In 0.0000 0.0000 0.2515
In 0.0000 0.0000 0.5000
In 0.0000 0.0000 0.7485

Largest 10 diffraction maxima, low angle first, 2θ = 10–90°:
d_spacing	I_rel
4.855	4
2.803	100
2.433	17
2.425	33
1.716	35
1.466	14
1.463	28
1.401	12
1.114	12
1.113	6

Entry 3:
Theoretical powder diffractogram of Ti3NbCu2P6O24 for Cu Kα, 1.54184 Å, from a crystal structure in Alexandria, relaxed with PBE.
Intensities are scaled so that the largest is 100.

Structural model:
Cell: 8.6895 8.6895 8.6895 Å, 60.22 60.22 60.22°
Atoms (fractional coordinates):
Ti 0.0000 0.0000 0.0000
Ti 0.2168 0.2168 0.2168
Ti 0.7166 0.7166 0.7166
Nb 0.4988 0.4988 0.4988
Cu 0.3555 0.3555 0.3555
Cu 0.8590 0.8590 0.8590
P 0.1017 0.8256 0.3981
P 0.3179 0.6093 0.9030
P 0.3981 0.1017 0.8256
P 0.6093 0.9030 0.3179
P 0.8256 0.3981 0.1017
P 0.9030 0.3179 0.6093
O 0.0481 0.8631 0.2361
O 0.0894 0.3019 0.4427
O 0.1291 0.7732 0.9185
O 0.1636 0.9833 0.3583
O 0.2361 0.0481 0.8631
O 0.2674 0.6337 0.4160
O 0.3019 0.4427 0.0894
O 0.3564 0.5524 0.7400
O 0.3583 0.1636 0.9833
O 0.4160 0.2674 0.6337
O 0.4427 0.0894 0.3019
O 0.4822 0.6637 0.8586
O 0.5524 0.7400 0.3564
O 0.5879 0.9397 0.8058
O 0.6337 0.4160 0.2674
O 0.6637 0.8586 0.4822
O 0.7400 0.3564 0.5524
O 0.7732 0.9185 0.1291
O 0.8058 0.5879 0.9397
O 0.8586 0.4822 0.6637
O 0.8631 0.2361 0.0481
O 0.9185 0.1291 0.7732
O 0.9397 0.8058 0.5879
O 0.9833 0.3583 0.1636

Largest 10 diffraction maxima, low angle first, 2θ = 10–90°:
d_spacing	I_rel
4.358	100
3.712	93
3.557	19
2.750	79
2.517	37
1.944	35
1.856	25
1.648	26
1.644	17
1.494	16

Entry 4:
Theoretical powder diffractogram of Rb5CrS4 for Cu Kα, 1.54184 Å, from a crystal structure in Alexandria, relaxed with PBE.
Intensities are scaled so that the largest is 100.

Structural model:
Cell: 9.5894 10.1031 7.6226 Å, 90.00 90.00 90.00°
Atoms (fractional coordinates):
Rb 0.0138 0.0596 0.2357
Rb 0.0138 0.4404 0.2357
Rb 0.2500 0.7500 0.3604
Rb 0.4862 0.0596 0.2357
Rb 0.4862 0.4404 0.2357
Rb 0.5138 0.5596 0.7643
Rb 0.5138 0.9404 0.7643
Rb 0.7500 0.2500 0.6396
Rb 0.9862 0.5596 0.7643
Rb 0.9862 0.9404 0.7643
Cr 0.2500 0.2500 0.7077
Cr 0.7500 0.7500 0.2923
S 0.0457 0.2500 0.8698
S 0.2500 0.0518 0.5500
S 0.2500 0.4482 0.5500
S 0.4543 0.2500 0.8698
S 0.5457 0.7500 0.1302
S 0.7500 0.5518 0.4500
S 0.7500 0.9482 0.4500
S 0.9543 0.7500 0.1302

Largest 10 diffraction maxima, low angle first, 2θ = 10–90°:
d_spacing	I_rel
4.059	41
3.811	50
3.766	68
3.478	50
3.080	100
2.984	47
2.592	35
2.569	68
2.397	36
1.892	38

Entry 5:
Theoretical powder diffractogram of MgScSe3 for Cu Kα, 1.54184 Å, from a crystal structure in Alexandria, relaxed with PBE.
Intensities are scaled so that the largest is 100.

Structural model:
Cell: 7.2577 7.2577 7.2577 Å, 55.51 55.51 55.51°
Atoms (fractional coordinates):
Mg 0.1543 0.1543 0.1543
Mg 0.8457 0.8457 0.8457
Sc 0.3394 0.3394 0.3394
Sc 0.6606 0.6606 0.6606
Se 0.0725 0.4332 0.7442
Se 0.2558 0.9275 0.5668
Se 0.4332 0.7442 0.0725
Se 0.5668 0.2558 0.9275
Se 0.7442 0.0725 0.4332
Se 0.9275 0.5668 0.2558

Largest 10 diffraction maxima, low angle first, 2θ = 10–90°:
d_spacing	I_rel
3.060	13
2.959	100
2.268	38
1.951	32
1.746	21
1.645	11
1.629	16
1.479	9
1.250	12
1.204	11

Entry 6:
Theoretical powder diffractogram of LiTi8O16 for Cu Kα, 1.54184 Å, from a crystal structure in Alexandria, relaxed with PBE.
Intensities are scaled so that the largest is 100.

Structural model:
Cell: 5.1932 5.5637 9.3001 Å, 89.06 89.25 89.25°
Atoms (fractional coordinates):
Li 0.0000 0.0000 0.0000
Ti 0.1696 0.7097 0.7688
Ti 0.1735 0.2179 0.5369
Ti 0.4035 0.7276 0.2766
Ti 0.4303 0.2363 0.0349
Ti 0.6562 0.0098 0.7743
Ti 0.6711 0.5138 0.5328
Ti 0.9014 0.0165 0.2904
Ti 0.9167 0.5108 0.0400
O 0.0002 0.5085 0.6369
O 0.0841 0.7437 0.1669
O 0.0911 0.2323 0.1385
O 0.2284 0.9720 0.3963
O 0.2382 0.4763 0.9154
O 0.3457 0.9820 0.8983
O 0.3588 0.4751 0.4153
O 0.4978 0.2323 0.6382
O 0.4991 0.7315 0.6749
O 0.5884 0.5135 0.1366
O 0.5918 0.0110 0.1742
O 0.7261 0.7702 0.3972
O 0.7480 0.2501 0.9196
O 0.8528 0.7580 0.8933
O 0.8578 0.2744 0.4178
O 0.9970 0.0085 0.6741

Largest 10 diffraction maxima, low angle first, 2θ = 10–90°:
d_spacing	I_rel
3.596	78
3.560	28
3.539	89
3.503	63
3.493	28
2.982	26
2.927	100
1.978	24
1.910	33
1.675	27

Entry 7:
Theoretical powder diffractogram of Mg2Tl2Se3 for Cu Kα, 1.54184 Å, from a crystal structure in Alexandria, relaxed with PBE.
Intensities are scaled so that the largest is 100.

Structural model:
Cell: 11.2712 11.2712 7.3244 Å, 108.95 108.95 83.28°
Atoms (fractional coordinates):
Mg 0.0341 0.5820 0.7394
Mg 0.1467 0.3045 0.8125
Mg 0.3045 0.1467 0.3125
Mg 0.4180 0.9659 0.7606
Mg 0.5820 0.0341 0.2394
Mg 0.6955 0.8533 0.6875
Mg 0.8533 0.6955 0.1875
Mg 0.9659 0.4180 0.2606
Tl 0.0629 0.9371 0.7500
Tl 0.2051 0.7949 0.2500
Tl 0.3153 0.4960 0.4061
Tl 0.4960 0.3153 0.9061
Tl 0.5040 0.6847 0.0939
Tl 0.6847 0.5040 0.5939
Tl 0.7949 0.2051 0.7500
Tl 0.9371 0.0629 0.2500
Se 0.0622 0.6459 0.4434
Se 0.1046 0.2412 0.0984
Se 0.2412 0.1046 0.5984
Se 0.2494 0.5240 0.9586
Se 0.3541 0.9378 0.0566
Se 0.4760 0.7506 0.5414
Se 0.5240 0.2494 0.4586
Se 0.6459 0.0622 0.9434
Se 0.7506 0.4760 0.0414
Se 0.7588 0.8954 0.4016
Se 0.8954 0.7588 0.9016
Se 0.9378 0.3541 0.5566

Largest 10 diffraction maxima, low angle first, 2θ = 10–90°:
d_spacing	I_rel
7.587	64
4.963	53
3.627	96
3.463	97
3.295	56
3.256	64
2.974	80
2.792	62
2.784	100
2.635	66

Entry 8:
Theoretical powder diffractogram of Pm2Dy12Tm for Cu Kα, 1.54184 Å, from a crystal structure in Alexandria, relaxed with PBE.
Intensities are scaled so that the largest is 100.

Structural model:
Cell: 6.4124 6.4124 24.9102 Å, 90.00 90.00 90.00°
Atoms (fractional coordinates):
Pm 0.2500 0.7500 0.2292
Pm 0.2500 0.7500 0.7708
Pm 0.7500 0.2500 0.2292
Pm 0.7500 0.2500 0.7708
Dy 0.0639 0.5639 0.3852
Dy 0.0639 0.9361 0.6148
Dy 0.0815 0.5815 0.9393
Dy 0.0815 0.9185 0.0607
Dy 0.2500 0.2500 0.1605
Dy 0.2500 0.2500 0.2853
Dy 0.2500 0.2500 0.7147
Dy 0.2500 0.2500 0.8395
Dy 0.4185 0.5815 0.0607
Dy 0.4185 0.9185 0.9393
Dy 0.4361 0.5639 0.6148
Dy 0.4361 0.9361 0.3852
Dy 0.5639 0.0639 0.6148
Dy 0.5639 0.4361 0.3852
Dy 0.5815 0.0815 0.0607
Dy 0.5815 0.4185 0.9393
Dy 0.7500 0.7500 0.1605
Dy 0.7500 0.7500 0.2853
Dy 0.7500 0.7500 0.7147
Dy 0.7500 0.7500 0.8395
Dy 0.9185 0.0815 0.9393
Dy 0.9185 0.4185 0.0607
Dy 0.9361 0.0639 0.3852
Dy 0.9361 0.4361 0.6148
Tm 0.2500 0.7500 0.5000
Tm 0.7500 0.2500 0.5000

Largest 10 diffraction maxima, low angle first, 2θ = 10–90°:
d_spacing	I_rel
4.261	23
3.105	39
2.991	31
2.851	32
2.797	100
2.768	31
2.605	24
2.485	25
2.267	31
1.636	26

Entry 9:
Theoretical powder diffractogram of Sc2FeSe for Cu Kα, 1.54184 Å, from a crystal structure in Alexandria, relaxed with PBE.
Intensities are scaled so that the largest is 100.

Structural model:
Cell: 4.0088 5.2635 5.2635 Å, 39.22 90.00 90.00°
Atoms (fractional coordinates):
Sc 0.0000 0.0000 0.0000
Sc 0.5000 0.2913 0.2913
Fe 0.0000 0.7347 0.7347
Se 0.5000 0.5743 0.5743

Largest 10 diffraction maxima, low angle first, 2θ = 10–90°:
d_spacing	I_rel
4.958	20
3.328	24
2.561	100
2.479	22
2.414	20
2.108	41
2.068	81
2.004	32
1.766	21
1.169	19

Entry 10:
Theoretical powder diffractogram of TlInSnHg3 for Cu Kα, 1.54184 Å, from a crystal structure in Alexandria, relaxed with PBE.
Intensities are scaled so that the largest is 100.

Structural model:
Cell: 7.3093 4.4010 10.8252 Å, 90.00 104.48 90.00°
Atoms (fractional coordinates):
Tl 0.1845 0.2500 0.2842
Tl 0.8155 0.7500 0.7158
In 0.3291 0.7500 0.8099
In 0.6709 0.2500 0.1900
Sn 0.0973 0.2500 0.5974
Sn 0.9027 0.7500 0.4026
Hg 0.0977 0.2500 0.9275
Hg 0.3724 0.7500 0.1134
Hg 0.3753 0.7500 0.5304
Hg 0.6247 0.2500 0.4696
Hg 0.6276 0.2500 0.8866
Hg 0.9023 0.7500 0.0725

Largest 10 diffraction maxima, low angle first, 2θ = 10–90°:
d_spacing	I_rel
3.370	19
2.871	17
2.862	21
2.758	100
2.738	90
2.642	14
2.231	13
2.201	32
1.745	18
1.564	12

Entry 11:
Theoretical powder diffractogram of ThAgCl6 for Cu Kα, 1.54184 Å, from a crystal structure in Alexandria, relaxed with PBE.
Intensities are scaled so that the largest is 100.

Structural model:
Cell: 6.9577 6.9577 6.9101 Å, 92.49 92.49 119.04°
Atoms (fractional coordinates):
Th 0.0000 0.0000 0.0000
Ag 0.0000 0.0000 0.5000
Cl 0.0076 0.3084 0.7763
Cl 0.2788 0.2788 0.3063
Cl 0.3084 0.0076 0.7763
Cl 0.6916 0.9924 0.2237
Cl 0.7212 0.7212 0.6937
Cl 0.9924 0.6916 0.2237

Largest 10 diffraction maxima, low angle first, 2θ = 10–90°:
d_spacing	I_rel
6.066	100
5.996	47
3.475	12
3.157	13
3.032	17
2.985	14
2.903	17
2.499	14
2.395	13
2.363	19